Diffraction record for Mn5CdO8. The PXRD pattern is computed, not measured: it uses DFT lattice parameters and positions (GGA+U) and Cu Ka.

Structure:
abc: 8.572 8.572 8.572
angles: 90.00 90.00 90.00
Space group F-43m (No. 216)
Unique sites:
Mn  0.000  0.000  0.000
Mn  0.125  0.125  0.375
Cd  0.250  0.250  0.750
O  0.106  0.106  0.606
O  0.140  0.140  0.140

Most intense lines, 15° ≤ 2θ ≤ 90°, most intense first:
2θ 34.7, d = 2.584 Å, I 100, hkl 3 1 1
2θ 29.5, d = 3.031 Å, I 46, hkl 2 2 0
2θ 55.7, d = 1.650 Å, I 39, hkl 5 1 1
2θ 61.2, d = 1.515 Å, I 39, hkl 4 4 0
2θ 87.4, d = 1.116 Å, I 17, hkl 5 5 3
2θ 52.3, d = 1.750 Å, I 15, hkl 4 2 2
2θ 72.3, d = 1.307 Å, I 11, hkl 5 3 3
2θ 84.6, d = 1.145 Å, I 9, hkl 6 4 2
2θ 42.2, d = 2.143 Å, I 8, hkl 4 0 0
2θ 36.3, d = 2.474 Å, I 8, hkl 2 2 2